No. 1
Structure and computed X-ray powder pattern of CeHoCu4 (a crystal structure in Alexandria, relaxed with GGA-PBE; Cu Kα X-rays).

Main lines, by angle (2θ = 10–80°):
two_theta  I_rel
34.55  31
35.69  100
35.83  42
41.88  32
42.23  47
56.27  22

Structure:
```
data_CeHoCu4
_chemical_formula_sum 'Ce1 Ho1 Cu4'
_cell_length_a 5.472
_cell_length_b 5.472
_cell_length_c 5.472
_cell_angle_alpha 133.57
_cell_angle_beta 102.93
_cell_angle_gamma 95.00
_symmetry_space_group_name_H-M 'P 1'
_symmetry_Int_Tables_number 1
loop_
_symmetry_equiv_pos_as_xyz
'x,y,z'
loop_
_atom_site_label
_atom_site_type_symbol
_atom_site_fract_x
_atom_site_fract_y
_atom_site_fract_z
Ce1 Ce 0.000 0.000 0.000
Ho1 Ho 0.578 0.078 0.500
Cu1 Cu 0.005 0.707 0.298
Cu2 Cu 0.176 0.377 0.799
Cu3 Cu 0.409 0.707 0.702
Cu4 Cu 0.578 0.377 0.201
```

=====

No. 2
Structure and computed X-ray powder pattern of Ce2In5Cu (a crystal structure in Alexandria, relaxed with GGA-PBE; Cu Kα X-rays).

Main lines, by angle (2θ = 10–80°):
two_theta  I_rel
28.65  100
36.81  27
37.85  85
43.90  21
48.15  24
62.81  21

Structure:
```
data_Ce2In5Cu
_chemical_formula_sum 'Ce2 In5 Cu1'
_cell_length_a 11.453
_cell_length_b 11.453
_cell_length_c 11.453
_cell_angle_alpha 23.96
_cell_angle_beta 23.96
_cell_angle_gamma 23.96
_symmetry_space_group_name_H-M 'P 1'
_symmetry_Int_Tables_number 1
loop_
_symmetry_equiv_pos_as_xyz
'x,y,z'
loop_
_atom_site_label
_atom_site_type_symbol
_atom_site_fract_x
_atom_site_fract_y
_atom_site_fract_z
Ce1 Ce 0.086 0.086 0.086
Ce2 Ce 0.914 0.914 0.914
In1 In 0.200 0.200 0.200
In2 In 0.357 0.357 0.357
In3 In 0.500 0.500 0.500
In4 In 0.643 0.643 0.643
In5 In 0.800 0.800 0.800
Cu1 Cu 0.000 0.000 0.000
```

=====

No. 3
Structure and computed X-ray powder pattern of CeIn2Cu9 (a crystal structure in Alexandria, relaxed with GGA-PBE; Cu Kα X-rays).

Main lines, by angle (2θ = 10–80°):
two_theta  I_rel
34.19  52
35.38  42
41.46  36
41.91  100
44.46  25
67.98  22

Structure:
```
data_CeIn2Cu9
_chemical_formula_sum 'Ce2 In4 Cu18'
_cell_length_a 5.075
_cell_length_b 5.075
_cell_length_c 16.344
_cell_angle_alpha 90.00
_cell_angle_beta 90.00
_cell_angle_gamma 120.00
_symmetry_space_group_name_H-M 'P 1'
_symmetry_Int_Tables_number 1
loop_
_symmetry_equiv_pos_as_xyz
'x,y,z'
loop_
_atom_site_label
_atom_site_type_symbol
_atom_site_fract_x
_atom_site_fract_y
_atom_site_fract_z
Ce1 Ce 0.333 0.667 0.250
Ce2 Ce 0.667 0.333 0.750
In1 In 0.333 0.667 0.039
In2 In 0.333 0.667 0.461
In3 In 0.667 0.333 0.539
In4 In 0.667 0.333 0.961
Cu1 Cu 0.000 0.000 0.000
Cu2 Cu 0.000 0.000 0.250
Cu3 Cu 0.000 0.000 0.500
Cu4 Cu 0.000 0.000 0.750
Cu5 Cu 0.168 0.336 0.624
Cu6 Cu 0.168 0.336 0.876
Cu7 Cu 0.168 0.832 0.624
Cu8 Cu 0.168 0.832 0.876
Cu9 Cu 0.333 0.667 0.750
Cu10 Cu 0.336 0.168 0.124
Cu11 Cu 0.336 0.168 0.376
Cu12 Cu 0.664 0.832 0.624
Cu13 Cu 0.664 0.832 0.876
Cu14 Cu 0.667 0.333 0.250
Cu15 Cu 0.832 0.168 0.124
Cu16 Cu 0.832 0.168 0.376
Cu17 Cu 0.832 0.664 0.124
Cu18 Cu 0.832 0.664 0.376
```

=====

No. 4
Structure and computed X-ray powder pattern of CeIn4Cu2 (a crystal structure in Alexandria, relaxed with GGA-PBE; Cu Kα X-rays).

Main lines, by angle (2θ = 10–80°):
two_theta  I_rel
33.09  100
33.65  60
35.27  29
36.60  24
38.98  47
40.51  20

Structure:
```
data_CeIn4Cu2
_chemical_formula_sum 'Ce4 In16 Cu8'
_cell_length_a 18.291
_cell_length_b 4.621
_cell_length_c 7.176
_cell_angle_alpha 90.00
_cell_angle_beta 90.00
_cell_angle_gamma 90.00
_symmetry_space_group_name_H-M 'P 1'
_symmetry_Int_Tables_number 1
loop_
_symmetry_equiv_pos_as_xyz
'x,y,z'
loop_
_atom_site_label
_atom_site_type_symbol
_atom_site_fract_x
_atom_site_fract_y
_atom_site_fract_z
Ce1 Ce 0.138 0.250 0.016
Ce2 Ce 0.362 0.750 0.516
Ce3 Ce 0.638 0.250 0.484
Ce4 Ce 0.862 0.750 0.984
In1 In 0.033 0.750 0.840
In2 In 0.072 0.250 0.503
In3 In 0.184 0.750 0.318
In4 In 0.194 0.750 0.729
In5 In 0.306 0.250 0.229
In6 In 0.316 0.250 0.818
In7 In 0.428 0.750 0.003
In8 In 0.467 0.250 0.340
In9 In 0.533 0.750 0.660
In10 In 0.572 0.250 0.997
In11 In 0.684 0.750 0.182
In12 In 0.694 0.750 0.771
In13 In 0.806 0.250 0.271
In14 In 0.816 0.250 0.682
In15 In 0.928 0.750 0.497
In16 In 0.967 0.250 0.160
Cu1 Cu 0.040 0.750 0.237
Cu2 Cu 0.219 0.250 0.530
Cu3 Cu 0.281 0.750 0.030
Cu4 Cu 0.460 0.250 0.737
Cu5 Cu 0.540 0.750 0.263
Cu6 Cu 0.719 0.250 0.970
Cu7 Cu 0.781 0.750 0.470
Cu8 Cu 0.960 0.250 0.763
```